No. 1
Theoretical powder X-ray diffraction pattern
Compound: MgOsPd2O
Radiation: CuKα
Structure: a crystal structure in Alexandria, relaxed with PBE
Neutral-atom scattering factors, no anomalous dispersion.

Largest 10 diffraction maxima, low angle first, 2θ from 10° to 90°:
2θ/deg, I/Imax
19.79, 44
30.82, 19
36.90, 100
40.21, 46
45.20, 10
47.82, 14
58.17, 15
64.20, 22
70.90, 30
78.53, 12

Atomic structure:
```
MgOsPd2O
1.0
4.4858 0.0000 0.0000
0.0000 4.4858 0.0000
0.0000 0.0000 3.8042
Mg Os Pd O
1 1 2 1
Direct
0.0000 0.0000 0.0000
0.5000 0.5000 0.0000
0.0000 0.5000 0.5000
0.5000 0.0000 0.5000
0.5000 0.5000 0.5000
```

---

No. 2
Theoretical powder X-ray diffraction pattern
Compound: PrMgOsO6
Radiation: CuKα
Structure: a crystal structure in Alexandria, relaxed with PBE
Neutral-atom scattering factors, no anomalous dispersion.

Largest 10 diffraction maxima, low angle first, 2θ from 10° to 90°:
2θ/deg, I/Imax
19.51, 27
26.26, 100
34.14, 29
43.57, 24
49.85, 32
56.48, 24
57.93, 10
61.11, 10
78.02, 10
79.26, 9

Atomic structure:
```
PrMgOsO6
1.0
5.2531 0.0000 0.0000
-2.6265 4.5493 0.0000
0.0000 0.0000 5.0977
Pr Mg Os O
1 1 1 6
Direct
0.0000 0.0000 0.0000
0.3333 0.6667 0.5000
0.6667 0.3333 0.5000
0.3772 0.0256 0.7116
0.3772 0.3516 0.2884
0.6484 0.0256 0.2884
0.6484 0.6228 0.7116
0.9744 0.3516 0.7116
0.9744 0.6228 0.2884
```

---

No. 3
Theoretical powder X-ray diffraction pattern
Compound: Mg2P3O9
Radiation: CuKα
Structure: a crystal structure in Alexandria, relaxed with PBE
Neutral-atom scattering factors, no anomalous dispersion.

Largest 10 diffraction maxima, low angle first, 2θ from 10° to 90°:
2θ/deg, I/Imax
18.58, 38
24.55, 100
27.74, 12
29.30, 90
33.59, 64
42.96, 19
49.07, 32
50.33, 23
65.40, 13
70.43, 17

Atomic structure:
```
Mg2P3O9
1.0
6.4316 0.0000 0.0000
-3.2158 5.5699 0.0000
0.0000 0.0000 9.5536
Mg P O
4 6 18
Direct
0.3333 0.6667 0.0052
0.3333 0.6667 0.4948
0.6667 0.3333 0.5052
0.6667 0.3333 0.9948
0.0095 0.7351 0.7500
0.2649 0.2744 0.7500
0.2744 0.0095 0.2500
0.7256 0.9905 0.7500
0.7351 0.7256 0.2500
0.9905 0.2649 0.2500
0.0105 0.7801 0.2500
0.0269 0.6285 0.6110
0.0269 0.6285 0.8890
0.2199 0.2304 0.2500
0.2304 0.0105 0.7500
0.3715 0.3984 0.6110
0.3715 0.3984 0.8890
0.3984 0.0269 0.1110
0.3984 0.0269 0.3890
0.6016 0.9731 0.6110
0.6016 0.9731 0.8890
0.6285 0.6016 0.1110
0.6285 0.6016 0.3890
0.7696 0.9895 0.2500
0.7801 0.7696 0.7500
0.9731 0.3715 0.1110
0.9731 0.3715 0.3890
0.9895 0.2199 0.7500
```

---

No. 4
Theoretical powder X-ray diffraction pattern
Compound: MgP2O10
Radiation: CuKα
Structure: a crystal structure in Alexandria, relaxed with PBE
Neutral-atom scattering factors, no anomalous dispersion.

Largest 10 diffraction maxima, low angle first, 2θ from 10° to 90°:
2θ/deg, I/Imax
21.38, 85
22.09, 100
23.53, 52
24.58, 56
27.68, 33
28.78, 21
29.22, 31
31.07, 17
34.13, 50
36.36, 29

Atomic structure:
```
MgP2O10
1.0
5.7714 0.0000 0.0000
0.0000 9.3201 0.0000
-5.3086 0.0000 6.4705
Mg P O
2 4 20
Direct
0.0000 0.0000 0.0000
0.0000 0.5000 0.5000
0.3177 0.1671 0.6533
0.3177 0.3329 0.1533
0.6823 0.6671 0.8467
0.6823 0.8329 0.3467
0.0472 0.5344 0.2085
0.0472 0.9656 0.7085
0.0568 0.1235 0.6666
0.0568 0.3765 0.1666
0.2512 0.1775 0.1017
0.2512 0.3225 0.6017
0.2559 0.0732 0.4591
0.2559 0.4268 0.9591
0.3738 0.6198 0.6699
0.3738 0.8802 0.1699
0.6262 0.1198 0.8301
0.6262 0.3802 0.3301
0.7441 0.5732 0.0409
0.7441 0.9268 0.5409
0.7488 0.6775 0.3983
0.7488 0.8225 0.8983
0.9432 0.6235 0.8334
0.9432 0.8765 0.3334
0.9528 0.0344 0.2915
0.9528 0.4656 0.7915
```

---

No. 5
Theoretical powder X-ray diffraction pattern
Compound: MgP2O2
Radiation: CuKα
Structure: a crystal structure in Alexandria, relaxed with PBE
Neutral-atom scattering factors, no anomalous dispersion.

Largest 10 diffraction maxima, low angle first, 2θ from 10° to 90°:
2θ/deg, I/Imax
25.06, 60
31.35, 31
35.74, 47
37.58, 100
40.55, 75
51.43, 72
52.83, 32
65.42, 64
75.71, 20
87.74, 28

Atomic structure:
```
MgP2O2
1.0
3.5533 0.0000 0.0000
0.0000 3.5533 0.0000
0.0000 0.0000 4.7868
Mg P O
1 2 2
Direct
0.0000 0.0000 0.0000
0.5000 0.5000 0.0000
0.5000 0.5000 0.5000
0.0000 0.5000 0.5000
0.5000 0.0000 0.5000
```

---

No. 6
Theoretical powder X-ray diffraction pattern
Compound: Mg2PO4
Radiation: CuKα
Structure: a crystal structure in Alexandria, relaxed with PBE
Neutral-atom scattering factors, no anomalous dispersion.

Largest 10 diffraction maxima, low angle first, 2θ from 10° to 90°:
2θ/deg, I/Imax
21.05, 100
34.45, 89
35.24, 7
41.41, 14
50.69, 16
54.37, 12
61.20, 21
62.73, 20
67.44, 7
81.10, 5

Atomic structure:
```
Mg2PO4
1.0
-2.5471 2.5471 3.7674
2.5471 -2.5471 3.7674
2.5471 2.5471 -3.7674
Mg P O
2 1 4
Direct
0.2500 0.7500 0.5000
0.7500 0.2500 0.5000
0.0000 0.0000 0.0000
0.0564 0.7002 0.0000
0.2998 0.2998 0.3562
0.7002 0.0564 0.0000
0.9436 0.9436 0.6438
```

---

No. 7
Theoretical powder X-ray diffraction pattern
Compound: Mg2P2O7
Radiation: CuKα
Structure: a crystal structure in Alexandria, relaxed with PBE
Neutral-atom scattering factors, no anomalous dispersion.

Largest 10 diffraction maxima, low angle first, 2θ from 10° to 90°:
2θ/deg, I/Imax
21.18, 20
29.38, 100
29.69, 51
35.13, 10
36.76, 8
42.59, 14
48.50, 9
55.87, 7
56.45, 7
57.93, 13

Atomic structure:
```
Mg2P2O7
1.0
7.0259 0.0000 0.0000
0.0000 8.3890 0.0000
-3.6579 0.0000 8.3949
Mg P O
8 8 28
Direct
0.1964 0.0596 0.3225
0.1964 0.4404 0.8225
0.2679 0.0711 0.8903
0.2679 0.4289 0.3903
0.7321 0.5711 0.6097
0.7321 0.9289 0.1097
0.8036 0.5596 0.1775
0.8036 0.9404 0.6775
0.0303 0.7264 0.9665
0.0303 0.7736 0.4665
0.4408 0.7324 0.2582
0.4408 0.7676 0.7582
0.5592 0.2324 0.2418
0.5592 0.2676 0.7418
0.9697 0.2264 0.5335
0.9697 0.2736 0.0335
0.0178 0.0915 0.6561
0.0178 0.4085 0.1561
0.0518 0.6110 0.3962
0.0518 0.8890 0.8962
0.1244 0.2357 0.4530
0.1244 0.2643 0.9530
0.2492 0.6712 0.0989
0.2492 0.8288 0.5989
0.3796 0.2405 0.2972
0.3796 0.2595 0.7972
0.3850 0.6102 0.8102
0.3850 0.8898 0.3102
0.4752 0.5979 0.3806
0.4752 0.9021 0.8806
0.5248 0.0979 0.1194
0.5248 0.4021 0.6194
0.6150 0.1102 0.6898
0.6150 0.3898 0.1898
0.6204 0.7405 0.2028
0.6204 0.7595 0.7028
0.7508 0.1712 0.4011
0.7508 0.3288 0.9011
0.8756 0.7357 0.0470
0.8756 0.7643 0.5470
0.9482 0.1110 0.1038
0.9482 0.3890 0.6038
0.9822 0.5915 0.8439
0.9822 0.9085 0.3439
```

---

No. 8
Theoretical powder X-ray diffraction pattern
Compound: MgPO4
Radiation: CuKα
Structure: a crystal structure in Alexandria, relaxed with PBE
Neutral-atom scattering factors, no anomalous dispersion.

Largest 10 diffraction maxima, low angle first, 2θ from 10° to 90°:
2θ/deg, I/Imax
19.17, 25
21.92, 100
28.70, 11
34.75, 70
45.11, 9
55.18, 13
56.21, 9
59.43, 18
67.80, 9
74.82, 7

Atomic structure:
```
MgPO4
1.0
4.6287 0.0000 0.0000
0.0000 4.6287 0.0000
0.0000 0.0000 8.3995
Mg P O
2 2 8
Direct
0.0000 0.0000 0.0000
0.0000 0.0000 0.5000
0.0000 0.5000 0.2500
0.5000 0.0000 0.7500
0.1772 0.2975 0.3592
0.1772 0.7025 0.1408
0.2975 0.1772 0.8592
0.2975 0.8228 0.6408
0.7025 0.1772 0.6408
0.7025 0.8228 0.8592
0.8228 0.2975 0.1408
0.8228 0.7025 0.3592
```

---

No. 9
Theoretical powder X-ray diffraction pattern
Compound: MgP3O9
Radiation: CuKα
Structure: a crystal structure in Alexandria, relaxed with PBE
Neutral-atom scattering factors, no anomalous dispersion.

Largest 10 diffraction maxima, low angle first, 2θ from 10° to 90°:
2θ/deg, I/Imax
16.35, 11
22.16, 100
23.04, 14
23.30, 14
24.89, 76
28.04, 18
29.69, 12
35.43, 16
38.85, 14
42.91, 9

Atomic structure:
```
MgP3O9
1.0
6.8569 -3.3539 0.0000
6.8569 3.3539 0.0000
-5.9751 0.0000 7.7203
Mg P O
2 6 18
Direct
0.2333 0.7667 0.5000
0.7667 0.2333 0.0000
0.1908 0.3295 0.7710
0.3295 0.1908 0.2710
0.5499 0.7335 0.3281
0.7335 0.5499 0.8281
0.7561 0.9576 0.1700
0.9576 0.7561 0.6700
0.0014 0.4746 0.8667
0.0827 0.8342 0.6560
0.1161 0.1705 0.1238
0.1414 0.5063 0.7013
0.1705 0.1161 0.6238
0.2832 0.4264 0.4104
0.3770 0.7209 0.3464
0.4264 0.2832 0.9104
0.4746 0.0014 0.3667
0.5063 0.1414 0.2013
0.5809 0.6084 0.6612
0.6084 0.5809 0.1612
0.6684 0.7893 0.9817
0.7209 0.3770 0.8464
0.7893 0.6684 0.4817
0.8297 0.9183 0.7994
0.8342 0.0827 0.1560
0.9183 0.8297 0.2994
```

---

No. 10
Theoretical powder X-ray diffraction pattern
Compound: MgSb2P2O10
Radiation: CuKα
Structure: a crystal structure in Alexandria, relaxed with PBE
Neutral-atom scattering factors, no anomalous dispersion.

Largest 10 diffraction maxima, low angle first, 2θ from 10° to 90°:
2θ/deg, I/Imax
14.22, 56
21.01, 29
21.82, 30
24.73, 83
26.12, 26
28.66, 100
29.24, 35
30.47, 62
50.69, 22
69.14, 23

Atomic structure:
```
MgSb2P2O10
1.0
0.0000 8.1462 4.0024
6.2449 0.0000 4.0024
6.2449 8.1462 0.0000
Mg Sb P O
2 4 4 20
Direct
0.0000 0.0000 0.0000
0.2500 0.2500 0.2500
0.0809 0.6106 0.6265
0.5681 0.6235 0.6394
0.6106 0.0809 0.6819
0.6235 0.5681 0.1691
0.0322 0.3692 0.0922
0.1578 0.7436 0.2178
0.3692 0.0322 0.5064
0.7436 0.1578 0.8808
0.0015 0.2203 0.2877
0.0221 0.2586 0.0071
0.0911 0.7787 0.3922
0.2203 0.0015 0.4905
0.2429 0.5378 0.2279
0.2497 0.5334 0.9166
0.2586 0.0221 0.7122
0.3334 0.9497 0.0003
0.3770 0.5731 0.4411
0.5121 0.8578 0.4713
0.5334 0.2497 0.3003
0.5378 0.2429 0.9914
0.5731 0.3770 0.6088
0.6412 0.8089 0.6769
0.7595 0.9623 0.0297
0.7787 0.0911 0.7379
0.8089 0.6412 0.8730
0.8578 0.5121 0.1589
0.9497 0.3334 0.7166
0.9623 0.7595 0.2485
```

---

Repeat the seventh record exactly.
Theoretical powder X-ray diffraction pattern
Compound: Mg2P2O7
Radiation: CuKα
Structure: a crystal structure in Alexandria, relaxed with PBE
Neutral-atom scattering factors, no anomalous dispersion.

Largest 10 diffraction maxima, low angle first, 2θ from 10° to 90°:
2θ/deg, I/Imax
21.18, 20
29.38, 100
29.69, 51
35.13, 10
36.76, 8
42.59, 14
48.50, 9
55.87, 7
56.45, 7
57.93, 13

Atomic structure:
```
Mg2P2O7
1.0
7.0259 0.0000 0.0000
0.0000 8.3890 0.0000
-3.6579 0.0000 8.3949
Mg P O
8 8 28
Direct
0.1964 0.0596 0.3225
0.1964 0.4404 0.8225
0.2679 0.0711 0.8903
0.2679 0.4289 0.3903
0.7321 0.5711 0.6097
0.7321 0.9289 0.1097
0.8036 0.5596 0.1775
0.8036 0.9404 0.6775
0.0303 0.7264 0.9665
0.0303 0.7736 0.4665
0.4408 0.7324 0.2582
0.4408 0.7676 0.7582
0.5592 0.2324 0.2418
0.5592 0.2676 0.7418
0.9697 0.2264 0.5335
0.9697 0.2736 0.0335
0.0178 0.0915 0.6561
0.0178 0.4085 0.1561
0.0518 0.6110 0.3962
0.0518 0.8890 0.8962
0.1244 0.2357 0.4530
0.1244 0.2643 0.9530
0.2492 0.6712 0.0989
0.2492 0.8288 0.5989
0.3796 0.2405 0.2972
0.3796 0.2595 0.7972
0.3850 0.6102 0.8102
0.3850 0.8898 0.3102
0.4752 0.5979 0.3806
0.4752 0.9021 0.8806
0.5248 0.0979 0.1194
0.5248 0.4021 0.6194
0.6150 0.1102 0.6898
0.6150 0.3898 0.1898
0.6204 0.7405 0.2028
0.6204 0.7595 0.7028
0.7508 0.1712 0.4011
0.7508 0.3288 0.9011
0.8756 0.7357 0.0470
0.8756 0.7643 0.5470
0.9482 0.1110 0.1038
0.9482 0.3890 0.6038
0.9822 0.5915 0.8439
0.9822 0.9085 0.3439
```